1.
The following is a simulated X-ray powder pattern of Cu2Hg2S3. It was derived from DFT lattice parameters and positions (PBE), using λ = 1.5418 Å (Cu Kα).
Kinematic intensities with the Lorentz-polarization factor, no thermal factor.

```
data_Cu2Hg2S3
_chemical_formula_sum 'Cu4 Hg4 S6'
_cell_length_a 7.3926
_cell_length_b 6.5228
_cell_length_c 6.6609
_cell_angle_alpha 90.00
_cell_angle_beta 116.72
_cell_angle_gamma 90.00
_symmetry_space_group_name_H-M 'P 1 21/c 1'
_symmetry_Int_Tables_number 14
loop_
_symmetry_equiv_pos_as_xyz
'x,y,z'
'-x,-y,-z'
'-x,y+1/2,-z+1/2'
'x,-y+1/2,z+1/2'
loop_
_atom_site_label
_atom_site_type_symbol
_atom_site_fract_x
_atom_site_fract_y
_atom_site_fract_z
Cu1 Cu 0.1618 0.0862 0.2130
Hg1 Hg 0.3333 0.6547 0.2634
S1 S 0.1220 0.1022 0.8461
S2 S 0.5000 0.0000 0.5000
```

Largest 12 diffraction maxima, sorted by position, 15 to 90 degrees two-theta:
| d [Å] | I (rel.) | (hkl) |
| --- | --- | --- |
| 4.641 | 44 | 1 1 0 |
| 3.200 | 36 | 2 1 -1 |
| 2.972 | 100 | 0 0 2 |
| 2.946 | 59 | 2 1 0 |
| 2.860 | 81 | 0 2 1 |
| 2.705 | 31 | 2 1 -2 |
| 2.438 | 30 | 2 2 -1 |
| 2.042 | 21 | 1 3 -1 |
| 1.871 | 22 | 2 3 -1 |
| 1.818 | 20 | 2 2 -3 |
| 1.768 | 24 | 2 1 2 |
| 1.694 | 21 | 0 2 3 |

2.
The following is a simulated X-ray powder pattern of Hf3TaTi2Sn3. It was derived from DFT lattice parameters and positions (PBE), using λ = 1.5418 Å (Cu Kα).
Kinematic intensities with the Lorentz-polarization factor, no thermal factor.

```
data_Hf3TaTi2Sn3
_chemical_formula_sum 'Hf3 Ta1 Ti2 Sn3'
_cell_length_a 8.3292
_cell_length_b 8.3292
_cell_length_c 3.0728
_cell_angle_alpha 90.00
_cell_angle_beta 90.00
_cell_angle_gamma 120.00
_symmetry_space_group_name_H-M 'P -6 2 m'
_symmetry_Int_Tables_number 189
_symmetry_space_group_name_Hall 'P -6 -2'
loop_
_atom_site_label
_atom_site_type_symbol
_atom_site_fract_x
_atom_site_fract_y
_atom_site_fract_z
Hf1 Hf 0.0000 0.7050 0.0000
Ta1 Ta 0.0000 0.0000 0.5000
Ti1 Ti 0.3333 0.6667 0.0000
Sn1 Sn 0.0000 0.3702 0.5000
```

Largest 12 diffraction maxima, sorted by position, 15 to 90 degrees two-theta:
| d [Å] | I (rel.) | (hkl) |
| --- | --- | --- |
| 4.165 | 13 | 1 1 0 |
| 2.726 | 22 | 2 1 0 |
| 2.473 | 100 | 1 1 1 |
| 2.404 | 86 | 3 0 0 |
| 2.339 | 31 | 2 0 1 |
| 2.039 | 19 | 2 1 1 |
| 2.001 | 10 | 3 1 0 |
| 1.724 | 24 | 2 2 1 |
| 1.457 | 25 | 3 2 1 |
| 1.401 | 16 | 4 1 1 |
| 1.306 | 11 | 5 0 1 |
| 1.295 | 31 | 3 0 2 |

3.
The following is a simulated X-ray powder pattern of Tb3IrRh2. It was derived from DFT lattice parameters and positions (PBE), using λ = 1.5418 Å (Cu Kα).
Kinematic intensities with the Lorentz-polarization factor, no thermal factor.

```
data_Tb3IrRh2
_chemical_formula_sum 'Tb6 Ir2 Rh4'
_cell_length_a 4.8702
_cell_length_b 4.8702
_cell_length_c 11.9041
_cell_angle_alpha 90.00
_cell_angle_beta 90.00
_cell_angle_gamma 120.00
_symmetry_space_group_name_H-M 'P -3 m 1'
_symmetry_Int_Tables_number 164
_symmetry_space_group_name_Hall '-P 3 2"'
loop_
_atom_site_label
_atom_site_type_symbol
_atom_site_fract_x
_atom_site_fract_y
_atom_site_fract_z
Tb1 Tb 0.0000 0.0000 0.2490
Tb2 Tb 0.3333 0.6667 0.4155
Tb3 Tb 0.3333 0.6667 0.9167
Ir1 Ir 0.3333 0.6667 0.1664
Rh1 Rh 0.0000 0.0000 0.0000
Rh2 Rh 0.0000 0.0000 0.5000
Rh3 Rh 0.3333 0.6667 0.6644
```

Largest 10 diffraction maxima, sorted by position, 15 to 90 degrees two-theta:
| d [Å] | I (rel.) | (hkl) |
| --- | --- | --- |
| 3.974 | 2 | 1 0 1 |
| 3.441 | 1 | 0 1 2 |
| 2.433 | 100 | 1 1 0 |
| 2.075 | 1 | 0 1 5 |
| 1.721 | 18 | 0 2 4 |
| 1.580 | 1 | 2 0 5 |
| 1.405 | 27 | 3 0 0 |
| 1.403 | 9 | 0 1 8 |
| 1.218 | 6 | 2 2 0 |
| 1.216 | 6 | 2 0 8 |

4.
The following is a simulated X-ray powder pattern of Ca2CoAs. It was derived from DFT lattice parameters and positions (PBE), using λ = 1.5418 Å (Cu Kα).
Kinematic intensities with the Lorentz-polarization factor, no thermal factor.

```
data_Ca2CoAs
_chemical_formula_sum 'Ca6 Co3 As3'
_cell_length_a 4.0514
_cell_length_b 4.0514
_cell_length_c 22.4081
_cell_angle_alpha 90.00
_cell_angle_beta 90.00
_cell_angle_gamma 120.00
_symmetry_space_group_name_H-M 'R 3 m'
_symmetry_Int_Tables_number 160
_symmetry_space_group_name_Hall 'R 3 -2"'
loop_
_atom_site_label
_atom_site_type_symbol
_atom_site_fract_x
_atom_site_fract_y
_atom_site_fract_z
Ca1 Ca 0.0000 0.0000 0.0000
Ca2 Ca 0.0000 0.0000 0.1723
Co1 Co 0.0000 0.0000 0.7531
As1 As 0.0000 0.0000 0.4192
```

Largest 12 diffraction maxima, sorted by position, 15 to 90 degrees two-theta:
| d [Å] | I (rel.) | (hkl) |
| --- | --- | --- |
| 2.974 | 77 | 1 0 4 |
| 2.763 | 100 | 0 1 5 |
| 2.490 | 26 | 0 0 9 |
| 2.365 | 54 | 1 0 7 |
| 2.189 | 25 | 0 1 8 |
| 2.026 | 89 | 1 1 0 |
| 1.955 | 59 | 1 1 3 |
| 1.867 | 22 | 0 0 12 |
| 1.634 | 19 | 2 0 5 |
| 1.571 | 36 | 1 1 9 |
| 1.373 | 46 | 1 1 12 |
| 1.272 | 15 | 1 2 5 |

5.
The following is a simulated X-ray powder pattern of Pr5YCd4. It was derived from DFT lattice parameters and positions (PBE), using λ = 1.5418 Å (Cu Kα).
Kinematic intensities with the Lorentz-polarization factor, no thermal factor.

```
data_Pr5YCd4
_chemical_formula_sum 'Pr5 Y1 Cd4'
_cell_length_a 3.8399
_cell_length_b 3.8399
_cell_length_c 20.6440
_cell_angle_alpha 90.00
_cell_angle_beta 90.00
_cell_angle_gamma 90.00
_symmetry_space_group_name_H-M 'P 4/m m m'
_symmetry_Int_Tables_number 123
_symmetry_space_group_name_Hall '-P 4 2'
loop_
_atom_site_label
_atom_site_type_symbol
_atom_site_fract_x
_atom_site_fract_y
_atom_site_fract_z
Pr1 Pr 0.0000 0.0000 0.0000
Pr2 Pr 0.0000 0.0000 0.1907
Pr3 Pr 0.0000 0.0000 0.3821
Y1 Y 0.5000 0.5000 0.5000
Cd1 Cd 0.5000 0.5000 0.0955
Cd2 Cd 0.5000 0.5000 0.2879
```

Largest 12 diffraction maxima, sorted by position, 15 to 90 degrees two-theta:
| d [Å] | I (rel.) | (hkl) |
| --- | --- | --- |
| 2.812 | 100 | 1 0 5 |
| 2.715 | 51 | 1 1 0 |
| 2.562 | 8 | 1 0 6 |
| 2.064 | 7 | 0 0 10 |
| 1.920 | 18 | 2 0 0 |
| 1.643 | 13 | 1 1 10 |
| 1.586 | 35 | 2 1 5 |
| 1.544 | 6 | 1 1 11 |
| 1.406 | 8 | 2 0 10 |
| 1.358 | 6 | 2 2 0 |
| 1.223 | 12 | 3 0 5 |
| 1.214 | 8 | 3 1 0 |

6.
The following is a simulated X-ray powder pattern of Ac4ThSe7. It was derived from DFT lattice parameters and positions (PBE), using λ = 1.5418 Å (Cu Kα).
Kinematic intensities with the Lorentz-polarization factor, no thermal factor.

```
data_Ac4ThSe7
_chemical_formula_sum 'Ac8 Th2 Se14'
_cell_length_a 14.7346
_cell_length_b 4.3595
_cell_length_c 12.3388
_cell_angle_alpha 90.00
_cell_angle_beta 104.91
_cell_angle_gamma 90.00
_symmetry_space_group_name_H-M 'C 1 m 1'
_symmetry_Int_Tables_number 8
loop_
_symmetry_equiv_pos_as_xyz
'x,y,z'
'x,-y,z'
'x+1/2,y+1/2,z'
'x+1/2,-y+1/2,z'
loop_
_atom_site_label
_atom_site_type_symbol
_atom_site_fract_x
_atom_site_fract_y
_atom_site_fract_z
Ac1 Ac 0.0000 0.0000 0.0000
Ac2 Ac 0.0983 0.0000 0.4619
Ac3 Ac 0.2062 0.5000 0.8276
Ac4 Ac 0.3070 0.0000 0.2180
Th1 Th 0.3667 0.5000 0.5849
Se1 Se 0.0454 0.0000 0.7606
Se2 Se 0.1585 0.5000 0.0647
Se3 Se 0.2203 0.5000 0.3714
Se4 Se 0.2757 0.0000 0.6762
Se5 Se 0.3447 0.0000 0.9696
Se6 Se 0.4511 0.0000 0.4810
Se7 Se 0.4590 0.5000 0.2296
```

Largest 12 diffraction maxima, sorted by position, 15 to 90 degrees two-theta:
| d [Å] | I (rel.) | (hkl) |
| --- | --- | --- |
| 4.083 | 100 | 2 0 2 |
| 3.927 | 97 | 2 0 -3 |
| 3.245 | 61 | 3 1 -1 |
| 3.211 | 63 | 3 1 0 |
| 3.058 | 99 | 3 1 -2 |
| 2.974 | 95 | 3 1 1 |
| 2.742 | 56 | 3 1 -3 |
| 2.516 | 39 | 1 1 -4 |
| 2.384 | 52 | 0 0 5 |
| 2.343 | 84 | 1 1 4 |
| 2.180 | 69 | 0 2 0 |
| 2.144 | 43 | 6 0 -4 |

7.
The following is a simulated X-ray powder pattern of VTcNi. It was derived from DFT lattice parameters and positions (PBE), using λ = 1.5418 Å (Cu Kα).
Kinematic intensities with the Lorentz-polarization factor, no thermal factor.

```
data_VTcNi
_chemical_formula_sum 'V2 Tc2 Ni2'
_cell_length_a 3.0594
_cell_length_b 3.0594
_cell_length_c 8.4211
_cell_angle_alpha 90.00
_cell_angle_beta 90.00
_cell_angle_gamma 90.00
_symmetry_space_group_name_H-M 'I 4 m m'
_symmetry_Int_Tables_number 107
_symmetry_space_group_name_Hall 'I 4 -2'
loop_
_atom_site_label
_atom_site_type_symbol
_atom_site_fract_x
_atom_site_fract_y
_atom_site_fract_z
V1 V 0.0000 0.0000 0.0000
Tc1 Tc 0.0000 0.0000 0.3459
Ni1 Ni 0.0000 0.0000 0.6644
```

Largest 12 diffraction maxima, sorted by position, 15 to 90 degrees two-theta:
| d [Å] | I (rel.) | (hkl) |
| --- | --- | --- |
| 4.211 | 6 | 0 0 2 |
| 2.876 | 13 | 1 0 1 |
| 2.163 | 59 | 1 1 0 |
| 2.105 | 2 | 0 0 4 |
| 2.068 | 100 | 1 0 3 |
| 1.924 | 3 | 1 1 2 |
| 1.530 | 18 | 2 0 0 |
| 1.509 | 3 | 1 1 4 |
| 1.404 | 6 | 0 0 6 |
| 1.350 | 3 | 2 1 1 |
| 1.230 | 33 | 2 1 3 |
| 1.177 | 14 | 1 1 6 |

8.
The following is a simulated X-ray powder pattern of NdNbSi2Tc. It was derived from DFT lattice parameters and positions (PBE), using λ = 1.5418 Å (Cu Kα).
Kinematic intensities with the Lorentz-polarization factor, no thermal factor.

```
data_NdNbSi2Tc
_chemical_formula_sum 'Nd2 Nb2 Si4 Tc2'
_cell_length_a 4.0713
_cell_length_b 4.0713
_cell_length_c 11.2490
_cell_angle_alpha 90.00
_cell_angle_beta 90.00
_cell_angle_gamma 90.00
_symmetry_space_group_name_H-M 'I -4 m 2'
_symmetry_Int_Tables_number 119
_symmetry_space_group_name_Hall 'I -4 -2'
loop_
_atom_site_label
_atom_site_type_symbol
_atom_site_fract_x
_atom_site_fract_y
_atom_site_fract_z
Nd1 Nd 0.0000 0.0000 0.0000
Nb1 Nb 0.0000 0.5000 0.7500
Si1 Si 0.0000 0.0000 0.3898
Tc1 Tc 0.0000 0.5000 0.2500
```

Largest 12 diffraction maxima, sorted by position, 15 to 90 degrees two-theta:
| d [Å] | I (rel.) | (hkl) |
| --- | --- | --- |
| 3.828 | 22 | 1 0 1 |
| 2.812 | 22 | 0 0 4 |
| 2.758 | 30 | 1 0 3 |
| 2.563 | 100 | 1 1 2 |
| 2.036 | 32 | 2 0 0 |
| 1.969 | 15 | 1 0 5 |
| 1.649 | 17 | 2 0 4 |
| 1.638 | 12 | 2 1 3 |
| 1.571 | 17 | 1 1 6 |
| 1.439 | 10 | 2 2 0 |
| 1.415 | 10 | 2 1 5 |
| 1.255 | 20 | 3 1 2 |